Structure and theoretical X-ray diffraction stick pattern of Zn3CdSn4O12 (a GGA-PBE-relaxed structure; λ = 1.5418 Å (Cu Kα)).

Most intense lines, 2θ = 10–90°, low angle first:
- 2θ 23.0, rel. 7
- 2θ 32.7, rel. 100
- 2θ 36.7, rel. 3
- 2θ 43.8, rel. 2
- 2θ 47.0, rel. 24
- 2θ 52.9, rel. 4
- 2θ 58.4, rel. 48
- 2θ 68.6, rel. 14
- 2θ 78.1, rel. 18
- 2θ 87.3, rel. 5

Crystal structure
```
data_Zn3CdSn4O12
_cell_length_a 6.7038
_cell_length_b 6.7038
_cell_length_c 6.7038
_cell_angle_alpha 109.47
_cell_angle_beta 109.47
_cell_angle_gamma 109.47
_space_group_name_H-M_alt 'P 1'
_space_group_IT_number 1
_space_group_name_Hall 'P 1'
loop_
_atom_site_label
_atom_site_fract_x
_atom_site_fract_y
_atom_site_fract_z
_atom_site_occupancy
Zn1 0.0000 0.5000 0.5000 1
Zn2 0.5000 0.0000 0.5000 1
Zn3 0.5000 0.5000 0.0000 1
Cd1 0.0000 0.0000 0.0000 1
Sn1 0.0000 0.0000 0.5000 1
Sn2 0.0000 0.5000 0.0000 1
Sn3 0.5000 0.0000 0.0000 1
Sn4 0.5000 0.5000 0.5000 1
O1 0.1294 0.8229 0.3064 1
O2 0.1771 0.3064 0.4835 1
O3 0.1771 0.6936 0.8706 1
O4 0.3064 0.1294 0.8229 1
O5 0.3064 0.4835 0.1771 1
O6 0.4835 0.1771 0.3064 1
O7 0.5165 0.8229 0.6936 1
O8 0.6936 0.5165 0.8229 1
O9 0.6936 0.8706 0.1771 1
O10 0.8229 0.3064 0.1294 1
O11 0.8229 0.6936 0.5165 1
O12 0.8706 0.1771 0.6936 1
```